(1)
Starting from DFT lattice parameters and positions (PBE), the X-ray diffraction stick pattern of Nd3P2N6 was computed for Cu Ka.

Structure:
```
data_Nd3P2N6
_cell_length_a 6.3523
_cell_length_b 5.5968
_cell_length_c 9.9066
_cell_angle_alpha 90.00
_cell_angle_beta 97.17
_cell_angle_gamma 90.00
_space_group_name_H-M_alt 'C 1 2/m 1'
_space_group_IT_number 12
_space_group_name_Hall '-C 2y'
loop_
_atom_site_label
_atom_site_type_symbol
_atom_site_fract_x
_atom_site_fract_y
_atom_site_fract_z
Nd1 Nd 0.0000 0.0000 0.0000
Nd2 Nd 0.2244 0.5000 0.6418
P1 P 0.1861 0.5000 0.2243
N1 N 0.1667 0.5000 0.3875
N2 N 0.2478 0.2437 0.8405
```

The 10 most intense peaks (2θ from 10° to 90°), in order of rising 2θ:
Position (°2θ), I/Imax, h k l
22.4, 1000, 1 1 -1
27.2, 319, 0 0 3
29.2, 998, 1 1 2
31.8, 231, 2 0 -2
32.0, 423, 0 2 0
33.3, 266, 1 1 -3
41.0, 225, 1 1 -4
42.5, 339, 0 2 3
46.2, 240, 3 1 0
55.3, 226, 1 3 2

(2)
Starting from DFT lattice parameters and positions (PBE), the X-ray diffraction stick pattern of ScFe3H was computed for Cu Ka.

Structure:
```
data_ScFe3H
_cell_length_a 3.8166
_cell_length_b 3.8166
_cell_length_c 3.8166
_cell_angle_alpha 90.00
_cell_angle_beta 90.00
_cell_angle_gamma 90.00
_space_group_name_H-M_alt 'P m -3 m'
_space_group_IT_number 221
_space_group_name_Hall '-P 4 2 3'
loop_
_atom_site_label
_atom_site_type_symbol
_atom_site_fract_x
_atom_site_fract_y
_atom_site_fract_z
Sc1 Sc 0.0000 0.0000 0.0000
Fe1 Fe 0.0000 0.5000 0.5000
H1 H 0.5000 0.5000 0.5000
```

The 8 most intense peaks (2θ from 10° to 90°), in order of rising 2θ:
Position (°2θ), I/Imax, h k l
23.3, 18, 1 0 0
33.2, 9, 1 1 0
41.0, 1000, 1 1 1
47.7, 478, 2 0 0
53.7, 7, 2 1 0
69.7, 273, 2 2 0
84.1, 311, 3 1 1
88.8, 92, 2 2 2

(3)
Starting from DFT lattice parameters and positions (PBE), the X-ray diffraction stick pattern of Ac2Pm7Tm4 was computed for Cu Ka.

Structure:
```
data_Ac2Pm7Tm4
_cell_length_a 6.3012
_cell_length_b 6.3012
_cell_length_c 13.1918
_cell_angle_alpha 90.00
_cell_angle_beta 90.00
_cell_angle_gamma 120.00
_space_group_name_H-M_alt 'P -3 1 m'
_space_group_IT_number 162
_space_group_name_Hall '-P 3 2'
loop_
_atom_site_label
_atom_site_type_symbol
_atom_site_fract_x
_atom_site_fract_y
_atom_site_fract_z
Ac1 Ac 0.3333 0.6667 0.0000
Pm1 Pm 0.0000 0.0000 0.0000
Pm2 Pm 0.0000 0.3724 0.7693
Tm1 Tm 0.0000 0.0000 0.3936
Tm2 Tm 0.3333 0.6667 0.5000
```

The 10 most intense peaks (2θ from 10° to 90°), in order of rising 2θ:
Position (°2θ), I/Imax, h k l
27.0, 241, 0 0 4
28.3, 229, 1 1 0
29.1, 311, 2 -1 1
31.5, 1000, 1 1 2
31.7, 201, 1 0 4
35.0, 278, 2 -1 3
50.2, 270, 3 0 0
50.6, 170, 1 1 6
57.9, 144, 3 0 4
60.4, 136, 4 -2 2

(4)
Starting from DFT lattice parameters and positions (PBE), the X-ray diffraction stick pattern of LaNdRhBr was computed for Cu Ka.

Structure:
```
data_LaNdRhBr
_cell_length_a 4.1309
_cell_length_b 4.1309
_cell_length_c 24.0302
_cell_angle_alpha 90.00
_cell_angle_beta 90.00
_cell_angle_gamma 120.00
_space_group_name_H-M_alt 'R 3 m'
_space_group_IT_number 160
_space_group_name_Hall 'R 3 -2"'
loop_
_atom_site_label
_atom_site_type_symbol
_atom_site_fract_x
_atom_site_fract_y
_atom_site_fract_z
La1 La 0.0000 0.0000 0.0000
Nd1 Nd 0.0000 0.0000 0.7963
Rh1 Rh 0.0000 0.0000 0.3973
Br1 Br 0.0000 0.0000 0.2269
```

The 10 most intense peaks (2θ from 10° to 90°), in order of rising 2θ:
Position (°2θ), I/Imax, h k l
11.0, 284, 0 0 3
26.0, 213, 0 1 2
29.1, 190, 1 0 4
31.2, 1000, 0 1 5
36.3, 158, 1 0 7
43.8, 438, 1 1 0
45.5, 250, 1 0 10
54.8, 200, 2 0 5
72.6, 171, 1 2 5
81.7, 99, 2 1 10

(5)
Starting from DFT lattice parameters and positions (PBE), the X-ray diffraction stick pattern of Li15Al2Tl2 was computed for Cu Ka.

Structure:
```
data_Li15Al2Tl2
_cell_length_a 8.7602
_cell_length_b 8.7602
_cell_length_c 15.3074
_cell_angle_alpha 90.00
_cell_angle_beta 90.00
_cell_angle_gamma 120.00
_space_group_name_H-M_alt 'R -3 m'
_space_group_IT_number 166
_space_group_name_Hall '-R 3 2"'
loop_
_atom_site_label
_atom_site_type_symbol
_atom_site_fract_x
_atom_site_fract_y
_atom_site_fract_z
Li1 Li 0.0000 0.2869 0.0000
Li2 Li 0.0000 0.5000 0.5000
Li3 Li 0.0202 0.5101 0.1199
Al1 Al 0.0000 0.0000 0.0930
Tl1 Tl 0.0000 0.0000 0.3140
```

The 10 most intense peaks (2θ from 10° to 90°), in order of rising 2θ:
Position (°2θ), I/Imax, h k l
16.5, 560, 0 1 2
17.4, 335, 0 0 3
20.3, 1000, 1 1 0
26.8, 732, 1 1 3
31.5, 295, 0 1 5
33.4, 238, 1 2 2
35.5, 291, 3 0 0
37.8, 247, 2 0 5
39.8, 320, 0 3 3
43.2, 258, 1 2 5

(6)
Starting from DFT lattice parameters and positions (PBE), the X-ray diffraction stick pattern of Er2MgPb5 was computed for Cu Ka.

Structure:
```
data_Er2MgPb5
_cell_length_a 6.6686
_cell_length_b 13.3745
_cell_length_c 4.9560
_cell_angle_alpha 90.00
_cell_angle_beta 90.00
_cell_angle_gamma 90.00
_space_group_name_H-M_alt 'P b a m'
_space_group_IT_number 55
_space_group_name_Hall '-P 2 2ab'
loop_
_atom_site_label
_atom_site_type_symbol
_atom_site_fract_x
_atom_site_fract_y
_atom_site_fract_z
Er1 Er 0.2091 0.1366 0.0000
Mg1 Mg 0.0000 0.5000 0.5000
Pb1 Pb 0.0000 0.0000 0.5000
Pb2 Pb 0.0366 0.7422 0.5000
Pb3 Pb 0.2117 0.3880 0.0000
```

The 10 most intense peaks (2θ from 10° to 90°), in order of rising 2θ:
Position (°2θ), I/Imax, h k l
32.3, 1000, 0 4 1
33.1, 103, 2 1 1
36.3, 215, 0 0 2
38.1, 283, 2 4 0
53.6, 215, 2 4 2
62.3, 55, 4 3 1
62.8, 154, 0 4 3
65.2, 99, 2 8 1
65.3, 60, 4 4 1
89.3, 56, 2 4 4

(7)
Starting from DFT lattice parameters and positions (PBE), the X-ray diffraction stick pattern of CeBeZnH6 was computed for Cu Ka.

Structure:
```
data_CeBeZnH6
_cell_length_a 4.2828
_cell_length_b 4.2828
_cell_length_c 4.5044
_cell_angle_alpha 90.00
_cell_angle_beta 90.00
_cell_angle_gamma 120.00
_space_group_name_H-M_alt 'P -6 m 2'
_space_group_IT_number 187
_space_group_name_Hall 'P -6 2'
loop_
_atom_site_label
_atom_site_type_symbol
_atom_site_fract_x
_atom_site_fract_y
_atom_site_fract_z
Ce1 Ce 0.0000 0.0000 0.0000
Be1 Be 0.3333 0.6667 0.5000
Zn1 Zn 0.6667 0.3333 0.5000
H1 H 0.0262 0.5131 0.2286
```

The 10 most intense peaks (2θ from 10° to 90°), in order of rising 2θ:
Position (°2θ), I/Imax, h k l
24.0, 344, 1 0 0
31.2, 1000, 1 0 1
40.0, 106, 0 0 2
42.2, 288, 1 1 0
47.2, 126, 1 0 2
53.4, 219, 2 0 1
59.6, 211, 1 1 2
67.3, 107, 1 0 3
70.3, 186, 2 1 1
82.7, 59, 2 0 3

(8)
Starting from DFT lattice parameters and positions (PBE), the X-ray diffraction stick pattern of HfNbW14 was computed for Cu Ka.

Structure:
```
data_HfNbW14
_cell_length_a 6.3982
_cell_length_b 9.0680
_cell_length_c 9.0856
_cell_angle_alpha 90.00
_cell_angle_beta 90.00
_cell_angle_gamma 90.00
_space_group_name_H-M_alt 'C m m m'
_space_group_IT_number 65
_space_group_name_Hall '-C 2 2'
loop_
_atom_site_label
_atom_site_type_symbol
_atom_site_fract_x
_atom_site_fract_y
_atom_site_fract_z
Hf1 Hf 0.0000 0.0000 0.0000
Nb1 Nb 0.0000 0.5000 0.0000
W1 W 0.0000 0.0000 0.5000
W2 W 0.0000 0.2495 0.2518
W3 W 0.0000 0.5000 0.5000
W4 W 0.2486 0.5000 0.2565
W5 W 0.2500 0.2500 0.0000
W6 W 0.2500 0.2500 0.5000
```

The 10 most intense peaks (2θ from 10° to 90°), in order of rising 2θ:
Position (°2θ), I/Imax, h k l
19.6, 7, 0 2 0
39.7, 501, 0 4 0
39.8, 1000, 2 2 2
57.4, 172, 0 4 4
57.6, 86, 4 0 0
72.1, 174, 2 2 6
72.2, 263, 2 6 2
72.3, 88, 4 4 0
85.5, 28, 0 0 8
85.8, 143, 0 8 0

(9)
Starting from DFT lattice parameters and positions (PBE), the X-ray diffraction stick pattern of LiTb2GePd6 was computed for Cu Ka.

Structure:
```
data_LiTb2GePd6
_cell_length_a 5.5957
_cell_length_b 5.6768
_cell_length_c 7.1034
_cell_angle_alpha 70.62
_cell_angle_beta 77.88
_cell_angle_gamma 60.67
_space_group_name_H-M_alt 'P -1'
_space_group_IT_number 2
_space_group_name_Hall '-P 1'
loop_
_atom_site_label
_atom_site_type_symbol
_atom_site_fract_x
_atom_site_fract_y
_atom_site_fract_z
Li1 Li 0.0000 0.0000 0.0000
Tb1 Tb 0.1438 0.3372 0.2599
Ge1 Ge 0.5000 0.5000 0.5000
Pd1 Pd 0.0605 0.8407 0.3526
Pd2 Pd 0.3599 0.6355 0.8265
Pd3 Pd 0.3795 0.1443 0.8090
```

The 10 most intense peaks (2θ from 10° to 90°), in order of rising 2θ:
Position (°2θ), I/Imax, h k l
26.7, 982, 0 0 2
33.4, 337, 1 0 -2
35.3, 375, 1 2 2
36.5, 736, 0 2 1
37.9, 291, 1 1 -2
38.6, 1000, 2 0 1
39.0, 779, 2 2 0
39.9, 448, 2 2 2
40.1, 520, 2 0 -1
43.6, 899, 0 2 -1